# 1
Theoretical PXRD pattern
Compound: SiC
Radiation: Cu Kα, 1.54184 Å
Structure: a cell relaxed with GGA-PBE
Intensities are scaled so that the largest is 100.

Atomic structure:
```
data_SiC
_chemical_formula_sum 'Si6 C6'
_space_group_name_H-M_alt 'P 63 m c'
_space_group_IT_number 186
_space_group_name_Hall 'P 6c -2c'
_cell_length_a 3.0948
_cell_length_b 3.0948
_cell_length_c 15.1862
_cell_angle_alpha 90.00
_cell_angle_beta 90.00
_cell_angle_gamma 120.00
loop_
_atom_site_label
_atom_site_type_symbol
_atom_site_fract_x
_atom_site_fract_y
_atom_site_fract_z
Si1 Si 0.0000 0.0000 0.0000
Si2 Si 0.3333 0.6667 0.1668
Si3 Si 0.3333 0.6667 0.8332
C1 C 0.0000 0.0000 0.3746
C2 C 0.3333 0.6667 0.0418
C3 C 0.3333 0.6667 0.7083
```

Principal peaks in the range 5 to 70 degrees two-theta, low angle first:
(1 0 1), 33.96 deg, d 2.639, rel. 33; (0 0 6), 35.50 deg, d 2.529, rel. 100; (1 0 3), 37.99 deg, d 2.369, rel. 36; (1 0 4), 41.23 deg, d 2.190, rel. 14; (1 0 5), 45.12 deg, d 2.010, rel. 6; (1 0 7), 54.41 deg, d 1.686, rel. 7; (1 1 0), 59.74 deg, d 1.548, rel. 55; (1 0 9), 65.35 deg, d 1.428, rel. 17



# 2
Theoretical PXRD pattern
Compound: Mg5H5N2
Radiation: Cu Kα, 1.54184 Å
Structure: a cell relaxed with GGA-PBE
Intensities are scaled so that the largest is 100.

Atomic structure:
```
data_Mg5H5N2
_chemical_formula_sum 'Mg5 H5 N2'
_space_group_name_H-M_alt 'P -1'
_space_group_IT_number 2
_space_group_name_Hall '-P 1'
_cell_length_a 3.711
_cell_length_b 5.321
_cell_length_c 7.220
_cell_angle_alpha 72.59
_cell_angle_beta 83.32
_cell_angle_gamma 79.55
loop_
_atom_site_label
_atom_site_type_symbol
_atom_site_fract_x
_atom_site_fract_y
_atom_site_fract_z
Mg1 Mg 0.000 0.000 0.000
Mg2 Mg 0.138 0.766 0.472
Mg3 Mg 0.427 0.300 0.197
H1 H 0.294 0.433 0.425
H2 H 0.473 0.705 0.079
H3 H 0.500 0.000 0.500
N1 N 0.039 0.886 0.743
```

Principal peaks in the range 5 to 70 degrees two-theta, low angle first:
(0 1 0), 17.68 deg, d 5.016, rel. 51; (0 1 1), 18.69 deg, d 4.747, rel. 60; (0 1 -1), 24.77 deg, d 3.594, rel. 86; (1 0 1), 26.94 deg, d 3.309, rel. 38; (1 1 0), 27.96 deg, d 3.192, rel. 100; (1 1 2), 33.44 deg, d 2.679, rel. 31; (-1 1 1), 33.78 deg, d 2.654, rel. 59; (1 0 2), 34.69 deg, d 2.586, rel. 29; (0 1 3), 38.26 deg, d 2.353, rel. 61; (0 2 3), 45.37 deg, d 1.999, rel. 46; (2 1 0), 50.62 deg, d 1.803, rel. 38; (1 -2 1), 51.46 deg, d 1.776, rel. 48